[1]
Starting from the GGA-PBE geometry in Alexandria, the X-ray powder pattern of HfH2Cl was computed for λ = 1.5418 Å (Cu Kα).
Kinematic intensities with the Lorentz-polarization factor, no thermal factor.

Structure:
Cell: 3.8446 3.8446 13.3222 Å, 90.00 90.00 90.00°
Space group I4_1/amd (No. 141, origin choice 2)
Unique sites:
1 Hf 0.0000 0.2500 0.3750
2 H 0.0000 0.0000 0.5000
3 Cl 0.0000 0.2500 0.8750

Peak list (10 most intense, 10° ≤ 2θ ≤ 90°, low angle first)
hkl 1 0 1, 2θ 24.09, d = 3.694 Å, intensity 60.1; hkl 0 0 4, 2θ 26.77, d = 3.331 Å, intensity 51.9; hkl 1 0 3, 2θ 30.76, d = 2.907 Å, intensity 31.0; hkl 1 1 2, 2θ 35.67, d = 2.517 Å, intensity 100.0; hkl 2 0 0, 2θ 47.29, d = 1.922 Å, intensity 22.3; hkl 1 1 6, 2θ 53.27, d = 1.720 Å, intensity 31.2; hkl 1 0 7, 2θ 53.75, d = 1.705 Å, intensity 21.6; hkl 0 0 8, 2θ 55.16, d = 1.665 Å, intensity 35.2; hkl 2 2 4, 2θ 75.55, d = 1.259 Å, intensity 22.2; hkl 3 1 2, 2θ 80.26, d = 1.196 Å, intensity 28.4

***

[2]
Starting from the GGA-PBE geometry in Alexandria, the X-ray powder pattern of AcHo12Sc7 was computed for λ = 1.5418 Å (Cu Kα).
Kinematic intensities with the Lorentz-polarization factor, no thermal factor.

Structure:
Cell: 12.8835 12.8835 12.3394 Å, 90.00 90.00 120.00°
Space group R-3m (No. 166, hexagonal axes)
Unique sites:
1 Ac 0.0000 0.0000 0.0000
2 Ho 0.0000 0.2654 0.5000
3 Ho 0.0891 0.1783 0.2708
4 Sc 0.0000 0.0000 0.5000
5 Sc 0.0300 0.5150 0.6209

Peak list (10 most intense, 10° ≤ 2θ ≤ 90°, low angle first)
hkl 0 2 1, 2θ 17.45, d = 5.083 Å, intensity 35.8; hkl 1 1 3, 2θ 25.70, d = 3.467 Å, intensity 28.1; hkl 1 3 1, 2θ 29.77, d = 3.002 Å, intensity 16.8; hkl 1 0 4, 2θ 30.05, d = 2.973 Å, intensity 37.6; hkl 0 3 3, 2θ 32.40, d = 2.763 Å, intensity 100.0; hkl 4 0 1, 2θ 32.92, d = 2.721 Å, intensity 59.3; hkl 0 4 2, 2θ 35.33, d = 2.540 Å, intensity 46.9; hkl 3 0 6, 2θ 50.73, d = 1.800 Å, intensity 18.7; hkl 4 4 0, 2θ 57.20, d = 1.610 Å, intensity 20.5; hkl 4 3 4, 2θ 58.55, d = 1.577 Å, intensity 23.1